This entry pairs a crystal structure of Li5Co7O3F13 with its theoretical X-ray diffraction stick pattern. Radiation: Cu Kα (λ = 1.5418 Å). Structure: a structure optimized by DFT (PBE+U).

Peak list (10 most intense, 2θ = 10–80°, by angle)
17.26 deg, d = 5.137 Å, rel. 66, (1 0 0)
17.45 deg, d = 5.081 Å, rel. 75, (0 1 0)
17.90 deg, d = 4.956 Å, rel. 89, (0 0 2)
19.56 deg, d = 4.538 Å, rel. 100, (1 0 1)
21.49 deg, d = 4.134 Å, rel. 53, (1 1 -1)
32.03 deg, d = 2.795 Å, rel. 40, (1 0 -3)
39.69 deg, d = 2.271 Å, rel. 57, (2 0 2)
43.80 deg, d = 2.067 Å, rel. 48, (2 2 -2)
44.41 deg, d = 2.040 Å, rel. 44, (2 0 -3)
45.02 deg, d = 2.014 Å, rel. 83, (0 2 4)

Structure:
Unit cell a=5.885 b=5.971 c=10.229 alpha=75.71 beta=83.68 gamma=60.80
Positions (direct):
Li 0.000 0.000 0.000
Li 0.012 0.298 0.437
Li 0.311 0.407 0.885
Li 0.489 0.311 0.450
Li 0.979 0.410 0.170
Co 0.171 0.859 0.677
Co 0.470 0.445 0.177
Co 0.487 0.913 0.192
Co 0.621 0.728 0.933
Co 0.662 0.862 0.666
Co 0.696 0.350 0.681
Co 0.990 0.831 0.419
O 0.354 0.800 0.073
O 0.501 0.639 0.779
O 0.843 0.067 0.562
F 0.014 0.104 0.803
F 0.147 0.052 0.305
F 0.173 0.518 0.324
F 0.309 0.303 0.075
F 0.326 0.597 0.551
F 0.332 0.092 0.550
F 0.528 0.116 0.807
F 0.644 0.052 0.303
F 0.678 0.508 0.306
F 0.801 0.331 0.052
F 0.819 0.792 0.073
F 0.836 0.587 0.539
F 0.976 0.644 0.809